No. 1
Calculated powder XRD pattern
Compound: Rb2GaSb2
Radiation: Cu Kα (λ = 1.5418 Å)
Structure: DFT lattice parameters and positions (PBE)

Structure:
```
Rb2GaSb2
1.0
15.6878 0.0000 0.0000
0.0000 10.9819 0.0000
0.0000 0.0000 9.4751
Rb Ga Sb
16 8 16
direct
0.0178 0.0327 0.2260
0.0178 0.4673 0.2260
0.2292 0.5338 0.6038
0.2292 0.9662 0.6038
0.2708 0.0338 0.1038
0.2708 0.4662 0.1038
0.4822 0.5327 0.7260
0.4822 0.9673 0.7260
0.5178 0.0327 0.2740
0.5178 0.4673 0.2740
0.7292 0.5338 0.8962
0.7292 0.9662 0.8962
0.7708 0.0338 0.3962
0.7708 0.4662 0.3962
0.9822 0.5327 0.7740
0.9822 0.9673 0.7740
0.0935 0.2500 0.6006
0.1808 0.7500 0.2774
0.3192 0.2500 0.7774
0.4065 0.7500 0.1006
0.5935 0.2500 0.8994
0.6808 0.7500 0.2226
0.8192 0.2500 0.7226
0.9065 0.7500 0.3994
0.0659 0.7500 0.4843
0.1374 0.7500 0.0095
0.1551 0.2500 0.8566
0.1959 0.2500 0.3827
0.3041 0.7500 0.8827
0.3449 0.7500 0.3566
0.3626 0.2500 0.5095
0.4341 0.2500 0.9843
0.5659 0.7500 0.0157
0.6374 0.7500 0.4905
0.6551 0.2500 0.6434
0.6959 0.2500 0.1173
0.8041 0.7500 0.6173
0.8449 0.7500 0.1434
0.8626 0.2500 0.9905
0.9341 0.2500 0.5157
```

The 10 most intense peaks (10° ≤ 2θ ≤ 80°), in order of rising 2θ:
- 2θ = 16.14°, rel. 59
- 2θ = 25.47°, rel. 100
- 2θ = 26.68°, rel. 57
- 2θ = 27.34°, rel. 63
- 2θ = 27.96°, rel. 92
- 2θ = 29.55°, rel. 41
- 2θ = 32.62°, rel. 80
- 2θ = 40.62°, rel. 49
- 2θ = 41.40°, rel. 52
- 2θ = 47.13°, rel. 46

---

No. 2
Calculated powder XRD pattern
Compound: CdGeBi2O6
Radiation: Cu Kα (λ = 1.5418 Å)
Structure: DFT lattice parameters and positions (PBE)

Structure:
```
CdGeBi2O6
1.0
10.5861 0.0000 0.0000
0.0000 10.3514 0.0000
0.0000 0.0000 5.7090
Cd Ge Bi O
4 4 8 24
direct
0.0000 0.1139 0.2500
0.0000 0.8861 0.7500
0.5000 0.3861 0.7500
0.5000 0.6139 0.2500
0.0000 0.3464 0.7500
0.0000 0.6536 0.2500
0.5000 0.1536 0.2500
0.5000 0.8464 0.7500
0.2412 0.3926 0.2149
0.2412 0.6074 0.7149
0.2588 0.1074 0.7149
0.2588 0.8926 0.2149
0.7412 0.1074 0.7851
0.7412 0.8926 0.2851
0.7588 0.3926 0.2851
0.7588 0.6074 0.7851
0.0785 0.2504 0.5350
0.0785 0.7496 0.0350
0.1218 0.4442 0.8750
0.1218 0.5558 0.3750
0.1466 0.0296 0.0135
0.1466 0.9704 0.5135
0.3534 0.4704 0.5135
0.3534 0.5296 0.0135
0.3782 0.0558 0.3750
0.3782 0.9442 0.8750
0.4215 0.2496 0.0350
0.4215 0.7504 0.5350
0.5785 0.2496 0.4650
0.5785 0.7504 0.9650
0.6218 0.0558 0.1250
0.6218 0.9442 0.6250
0.6466 0.4704 0.9865
0.6466 0.5296 0.4865
0.8534 0.0296 0.4865
0.8534 0.9704 0.9865
0.8782 0.4442 0.6250
0.8782 0.5558 0.1250
0.9215 0.2504 0.9650
0.9215 0.7496 0.4650
```

The 10 most intense peaks (10° ≤ 2θ ≤ 80°), in order of rising 2θ:
- 2θ = 16.75°, rel. 11
- 2θ = 28.75°, rel. 100
- 2θ = 31.34°, rel. 15
- 2θ = 33.87°, rel. 13
- 2θ = 34.66°, rel. 11
- 2θ = 46.81°, rel. 14
- 2θ = 47.42°, rel. 12
- 2θ = 49.24°, rel. 12
- 2θ = 54.20°, rel. 13
- 2θ = 57.50°, rel. 14